# 1
The following is a computed X-ray powder pattern of YTlAgPb. It was derived from a structure optimized by DFT (PBE), using Cu Kα (weighted mean of Kα1 and Kα2).
Peak positions follow from Bragg's law for the DFT cell and can differ from measured ones.

Cell and atoms:
Unit cell a=4.4767 b=4.6326 c=4.8485 alpha=90.00 beta=90.00 gamma=90.00
Positions (direct):
Y (0.0000, 0.0000, 0.0000)
Tl (0.5000, 0.0000, 0.5000)
Ag (0.0000, 0.5000, 0.5000)
Pb (0.5000, 0.5000, 0.0000)

Largest 12 diffraction maxima, most intense first, 2θ from 10° to 90°:
- 2θ = 33.41°, I = 100, hkl 1 1 1
- 2θ = 37.08°, I = 19, hkl 0 0 2
- 2θ = 38.88°, I = 17, hkl 0 2 0
- 2θ = 40.29°, I = 15, hkl 2 0 0
- 2θ = 64.52°, I = 15, hkl 1 1 3
- 2θ = 66.94°, I = 13, hkl 1 3 1
- 2θ = 68.88°, I = 12, hkl 3 1 1
- 2θ = 54.82°, I = 12, hkl 0 2 2
- 2θ = 70.19°, I = 12, hkl 2 2 2
- 2θ = 55.91°, I = 12, hkl 2 0 2
- 2θ = 57.23°, I = 11, hkl 2 2 0
- 2θ = 26.61°, I = 9, hkl 0 1 1

=====

# 2
The following is a computed X-ray powder pattern of TmAg4Pb. It was derived from a structure optimized by DFT (PBE), using Cu Kα (weighted mean of Kα1 and Kα2).
Peak positions follow from Bragg's law for the DFT cell and can differ from measured ones.

Cell and atoms:
Unit cell a=4.8755 b=4.8755 c=6.2900 alpha=90.00 beta=90.00 gamma=120.00
Positions (direct):
Tm (0.0000, 0.0000, 0.0000)
Ag (0.3333, 0.6667, 0.2366)
Ag (0.3333, 0.6667, 0.7634)
Ag (0.6667, 0.3333, 0.2366)
Ag (0.6667, 0.3333, 0.7634)
Pb (0.0000, 0.0000, 0.5000)

Largest 12 diffraction maxima, most intense first, 2θ from 10° to 90°:
- 2θ = 35.59°, I = 100, hkl 1 0 2
- 2θ = 36.87°, I = 87, hkl 1 1 0
- 2θ = 52.18°, I = 33, hkl 2 0 2
- 2θ = 65.60°, I = 33, hkl 2 1 2
- 2θ = 71.38°, I = 23, hkl 1 1 4
- 2θ = 89.25°, I = 15, hkl 3 1 2
- 2θ = 66.43°, I = 15, hkl 3 0 0
- 2θ = 21.04°, I = 11, hkl 1 0 0
- 2θ = 78.47°, I = 9, hkl 2 2 0
- 2θ = 58.71°, I = 7, hkl 0 0 4
- 2θ = 25.41°, I = 2, hkl 1 0 1
- 2θ = 42.84°, I = 2, hkl 2 0 0